For VP2Cl7O4, the GGA+U geometry in Alexandria gives the simulated XRD peak list in this record (CuKα).
Peak positions follow from Bragg's law for the DFT cell and can differ from measured ones.

Structural model:
```
28
Lattice="8.497 0.000 0.000 -2.636 8.203 0.000 -2.659 -1.092 10.753" Properties=species:S:1:pos:R:3 pbc="T T T"
V -0.325 0.881 3.347
V 3.526 6.230 7.406
P -2.221 6.467 5.409
P -0.327 1.135 8.728
P 3.528 5.976 2.025
P 5.422 0.644 5.344
Cl -3.647 5.305 8.958
Cl -1.679 5.024 4.129
Cl 1.039 -0.040 1.840
Cl -1.618 1.958 10.008
Cl -0.722 6.524 6.734
Cl 0.466 2.664 7.719
Cl 1.170 0.472 9.880
Cl 2.031 6.638 0.873
Cl 2.736 4.446 3.034
Cl 3.923 0.586 4.019
Cl 4.820 5.153 0.745
Cl 2.162 7.151 8.913
Cl 4.880 2.087 6.624
Cl 6.848 1.805 1.795
O -3.490 6.004 6.082
O -0.914 0.104 7.849
O 0.391 -0.402 4.707
O 0.540 2.154 3.781
O 2.662 4.956 6.972
O 2.810 7.512 6.046
O 4.115 7.007 2.904
O 6.691 1.107 4.671
```

Largest 10 diffraction maxima, most intense first, 10° ≤ 2θ ≤ 90°:
| (hkl) | 2theta | Rel. int. |
| --- | --- | --- |
| 0 1 0 | 10.84 | 100.0 |
| 1 1 1 | 21.49 | 99.3 |
| 1 -1 0 | 12.93 | 89.5 |
| 2 -2 2 | 32.94 | 56.9 |
| 1 0 0 | 11.32 | 55.7 |
| -1 1 2 | 19.51 | 51.4 |
| 1 0 -1 | 12.16 | 46.6 |
| -2 2 3 | 33.56 | 45.2 |
| 1 2 -2 | 29.58 | 43.9 |
| 1 -1 2 | 22.40 | 43.4 |